1.
Starting from a structure optimized by DFT (PBE), the powder XRD pattern of Zn2SnS3 was calculated for Cu Ka.

Most intense lines, 10° ≤ 2θ ≤ 80°, by angle:
2θ (°)  I/Imax
17.72  33
22.56  36
32.97  100
35.89  45
36.55  77
36.66  36

Cell and atoms:
Lattice parameters (Å, degrees): 6.6636 6.6636 10.0090 90.00 90.00 147.16
Atoms (fractional coordinates):
Zn 0.0000 0.0000 0.0000
Zn 0.0000 0.0000 0.5000
Zn 0.4778 0.5222 0.7500
Zn 0.5222 0.4778 0.2500
Sn 0.2385 0.7615 0.2500
Sn 0.7615 0.2385 0.7500
S 0.0877 0.9123 0.7500
S 0.3720 0.6280 0.5627
S 0.3720 0.6280 0.9373
S 0.6280 0.3720 0.0627
S 0.6280 0.3720 0.4373
S 0.9123 0.0877 0.2500


2.
Starting from a structure optimized by DFT (PBE), the powder XRD pattern of HoEr4Se5 was calculated for Cu Ka.

Most intense lines, 10° ≤ 2θ ≤ 80°, by angle:
2θ (°)  I/Imax
27.10  34
31.29  50
31.44  100
44.95  73
45.06  37
55.88  38

Cell and atoms:
Lattice parameters (Å, degrees): 14.5738 14.5738 14.5738 164.13 164.13 22.52
Atoms (fractional coordinates):
Ho 0.0000 0.0000 0.0000
Er 0.2032 0.2032 0.0000
Er 0.4021 0.4021 0.0000
Er 0.5979 0.5979 0.0000
Er 0.7968 0.7968 0.0000
Se 0.1015 0.1015 0.0000
Se 0.3022 0.3022 0.0000
Se 0.5000 0.5000 0.0000
Se 0.6978 0.6978 0.0000
Se 0.8985 0.8985 0.0000


3.
Starting from a structure optimized by DFT (PBE), the powder XRD pattern of Pr2GdCd3Cu2Ag was calculated for Cu Ka.

Most intense lines, 10° ≤ 2θ ≤ 80°, by angle:
2θ (°)  I/Imax
32.13  100
34.82  90
35.04  47
39.92  34
45.73  23
58.88  20

Cell and atoms:
Lattice parameters (Å, degrees): 3.9684 7.8290 7.8290 120.16 90.00 90.00
Atoms (fractional coordinates):
Pr 0.0000 0.2056 0.7944
Pr 0.0000 0.7944 0.2056
Gd 0.0000 0.3825 0.3825
Cd 0.5000 0.0610 0.0610
Cd 0.5000 0.5299 0.7900
Cd 0.5000 0.7900 0.5299
Cu 0.5000 0.1330 0.4592
Cu 0.5000 0.4592 0.1330
Ag 0.0000 0.7922 0.7922


4.
Starting from a structure optimized by DFT (PBE), the powder XRD pattern of ZrPa was calculated for Cu Ka.

Most intense lines, 10° ≤ 2θ ≤ 80°, by angle:
2θ (°)  I/Imax
32.45  57
36.44  100
46.55  19
57.98  17
60.46  23
68.01  24

Cell and atoms:
Lattice parameters (Å, degrees): 5.5249 6.3606 5.5127 90.00 90.00 90.00
Atoms (fractional coordinates):
Zr 0.0000 0.0000 0.0000
Zr 0.0000 0.2492 0.4993
Zr 0.0000 0.7508 0.4993
Zr 0.5000 0.0000 0.6619
Pa 0.0000 0.5000 0.0039
Pa 0.5000 0.2434 0.1627
Pa 0.5000 0.5000 0.6570
Pa 0.5000 0.7566 0.1627